(1)
For Mg3Ga2Au3, a GGA-PBE-relaxed structure gives the simulated powder diffraction line list in this record (Cu Ka).

Top 10 peaks for 2θ = 15–90°, in order of rising 2θ:
- 2θ 17.7, rel. 70
- 2θ 24.6, rel. 63
- 2θ 25.4, rel. 88
- 2θ 27.8, rel. 95
- 2θ 28.1, rel. 59
- 2θ 28.8, rel. 49
- 2θ 40.4, rel. 86
- 2θ 40.6, rel. 100
- 2θ 40.7, rel. 51
- 2θ 54.3, rel. 48

Structure:
a = 7.018 Å, b = 12.574 Å, c = 7.132 Å
α = 90.00°, β = 90.00°, γ = 90.00°
Space group Pnma (No. 62)
One atom of each set of equivalent atoms:
Mg1 0.009 0.092 0.169 x8
Mg2 0.185 0.250 0.511 x4
Ga1 0.156 0.632 0.339 x8
Au1 0.190 0.038 0.555 x8
Au2 0.204 0.750 0.647 x4

---

(2)
For Mg6GaAu, a GGA-PBE-relaxed structure gives the simulated powder diffraction line list in this record (Cu Ka).

Top 10 peaks for 2θ = 15–90°, in order of rising 2θ:
- 2θ 16.3, rel. 59
- 2θ 18.4, rel. 100
- 2θ 29.6, rel. 43
- 2θ 33.0, rel. 23
- 2θ 33.3, rel. 32
- 2θ 36.8, rel. 23
- 2θ 37.3, rel. 35
- 2θ 37.9, rel. 38
- 2θ 47.6, rel. 22
- 2θ 51.7, rel. 21

Structure:
a = 6.189 Å, b = 10.866 Å, c = 6.270 Å
α = 90.00°, β = 119.36°, γ = 90.00°
Space group C2/m (No. 12)
One atom of each set of equivalent atoms:
Mg1 0.243 0.208 0.250 x8
Mg2 0.246 0.000 0.754 x4
Ga1 0.000 0.500 0.500 x2
Au1 0.000 0.000 0.000 x2

---

(3)
For Mg6GaAu, a GGA-PBE-relaxed structure gives the simulated powder diffraction line list in this record (Cu Ka).

Top 10 peaks for 2θ = 15–90°, in order of rising 2θ:
- 2θ 19.0, rel. 46
- 2θ 25.2, rel. 37
- 2θ 27.1, rel. 19
- 2θ 28.7, rel. 47
- 2θ 35.9, rel. 57
- 2θ 37.5, rel. 100
- 2θ 38.6, rel. 29
- 2θ 45.7, rel. 26
- 2θ 51.7, rel. 20
- 2θ 65.6, rel. 38

Structure:
a = 4.999 Å, b = 4.999 Å, c = 13.075 Å
α = 90.00°, β = 90.00°, γ = 90.00°
Space group I4/mmm (No. 139)
One atom of each set of equivalent atoms:
Mg1 0.000 0.000 0.247 x4
Mg2 0.000 0.500 0.114 x8
Ga1 0.000 0.000 0.500 x2
Au1 0.000 0.000 0.000 x2

---

(4)
For Mg3Ga2Au2, a GGA-PBE-relaxed structure gives the simulated powder diffraction line list in this record (Cu Ka).

Top 10 peaks for 2θ = 15–90°, in order of rising 2θ:
- 2θ 22.7, rel. 85
- 2θ 27.0, rel. 29
- 2θ 27.2, rel. 55
- 2θ 35.7, rel. 100
- 2θ 38.7, rel. 44
- 2θ 39.0, rel. 75
- 2θ 45.4, rel. 25
- 2θ 48.2, rel. 47
- 2θ 61.2, rel. 23
- 2θ 70.5, rel. 26

Structure:
a = 3.998 Å, b = 19.807 Å, c = 3.273 Å
α = 90.00°, β = 90.00°, γ = 90.00°
Space group Cmmm (No. 65)
One atom of each set of equivalent atoms:
Mg1 0.000 0.000 0.000 x2
Mg2 0.000 0.148 0.000 x4
Ga1 0.000 0.288 0.500 x4
Au1 0.000 0.425 0.500 x4

---

(5)
For NdMgGa2Au5, a GGA-PBE-relaxed structure gives the simulated powder diffraction line list in this record (Cu Ka).

Top 10 peaks for 2θ = 15–90°, in order of rising 2θ:
- 2θ 22.3, rel. 13
- 2θ 34.4, rel. 100
- 2θ 36.9, rel. 58
- 2θ 43.0, rel. 13
- 2θ 53.2, rel. 27
- 2θ 60.0, rel. 20
- 2θ 64.9, rel. 33
- 2θ 72.6, rel. 11
- 2θ 77.0, rel. 13
- 2θ 78.6, rel. 11

Structure:
a = 4.868 Å, b = 4.868 Å, c = 7.963 Å
α = 90.00°, β = 90.00°, γ = 90.00°
Space group P4/mmm (No. 123)
One atom of each set of equivalent atoms:
Nd1 0.000 0.000 0.000 x1
Mg1 0.000 0.000 0.500 x1
Ga1 0.500 0.500 0.346 x2
Au1 0.000 0.500 0.245 x4
Au2 0.500 0.500 0.000 x1

---

(6)
For PmMg2GaAu2, a GGA-PBE-relaxed structure gives the simulated powder diffraction line list in this record (Cu Ka).

Top 10 peaks for 2θ = 15–90°, in order of rising 2θ:
- 2θ 21.1, rel. 20
- 2θ 26.4, rel. 100
- 2θ 29.0, rel. 61
- 2θ 33.4, rel. 17
- 2θ 41.5, rel. 33
- 2θ 44.8, rel. 44
- 2θ 49.8, rel. 36
- 2θ 54.3, rel. 17
- 2θ 68.1, rel. 11
- 2θ 78.0, rel. 17

Structure:
a = 4.355 Å, b = 4.355 Å, c = 16.083 Å
α = 90.00°, β = 90.00°, γ = 90.00°
Space group I4/mmm (No. 139)
One atom of each set of equivalent atoms:
Pm1 0.000 0.000 0.000 x2
Mg1 0.000 0.500 0.250 x4
Ga1 0.000 0.000 0.500 x2
Au1 0.000 0.000 0.348 x4

---

(7)
For PmMgGa2Au2, a GGA-PBE-relaxed structure gives the simulated powder diffraction line list in this record (Cu Ka).

Top 10 peaks for 2θ = 15–90°, in order of rising 2θ:
- 2θ 25.1, rel. 17
- 2θ 26.2, rel. 80
- 2θ 34.3, rel. 100
- 2θ 38.1, rel. 16
- 2θ 40.4, rel. 87
- 2θ 48.2, rel. 18
- 2θ 48.8, rel. 15
- 2θ 54.0, rel. 28
- 2θ 56.7, rel. 31
- 2θ 69.5, rel. 26

Structure:
a = 4.4683 Å, b = 4.4683 Å, c = 7.0864 Å
α = 90.00°, β = 90.00°, γ = 120.00°
Space group P-3m1 (No. 164)
One atom of each set of equivalent atoms:
Pm1 0.0000 0.0000 0.0000 x1
Mg1 0.0000 0.0000 0.5000 x1
Ga1 0.3333 0.6667 0.2736 x2
Au1 0.3333 0.6667 0.7020 x2

---

(8)
For ThMg2Ga2Au2, a GGA-PBE-relaxed structure gives the simulated powder diffraction line list in this record (Cu Ka).

Top 10 peaks for 2θ = 15–90°, in order of rising 2θ:
- 2θ 24.0, rel. 43
- 2θ 27.1, rel. 15
- 2θ 29.3, rel. 49
- 2θ 34.4, rel. 100
- 2θ 40.2, rel. 82
- 2θ 52.8, rel. 15
- 2θ 53.9, rel. 31
- 2θ 57.6, rel. 14
- 2θ 61.2, rel. 24
- 2θ 69.3, rel. 28

Structure:
a = 4.4915 Å, b = 4.4915 Å, c = 24.5952 Å
α = 90.00°, β = 90.00°, γ = 120.00°
Space group R-3m (No. 166, hexagonal axes)
One atom of each set of equivalent atoms:
Th1 0.0000 0.0000 0.0000 x3
Mg1 0.0000 0.0000 0.1373 x6
Ga1 0.0000 0.0000 0.2605 x6
Au1 0.0000 0.0000 0.4270 x6